No. 1
This entry pairs a crystal structure of PmBiS3 with its calculated powder X-ray diffraction pattern. Radiation: Cu Kα (λ = 1.5418 Å). Structure: a cell relaxed with GGA-PBE.
Kinematic intensities with the Lorentz-polarization factor, no thermal factor.

The 10 most intense peaks (2θ = 10–90°), by intensity:
24.88 deg, intensity 100; 31.65 deg, intensity 92; 25.18 deg, intensity 57; 24.68 deg, intensity 53; 22.27 deg, intensity 44; 42.09 deg, intensity 40; 39.37 deg, intensity 40; 33.44 deg, intensity 29; 15.50 deg, intensity 28; 52.75 deg, intensity 26

Cell and atoms:
Cell: 7.9875 4.0023 7.9889 Å, 90.00 91.39 90.00°
Atoms (fractional coordinates):
Pm: 0.2205 0.2500 0.3813
Pm: 0.7795 0.7500 0.6187
Bi: 0.3263 0.2500 0.8491
Bi: 0.6737 0.7500 0.1509
S: 0.0199 0.2500 0.6763
S: 0.3280 0.7500 0.1226
S: 0.3952 0.7500 0.6184
S: 0.6048 0.2500 0.3816
S: 0.6720 0.2500 0.8774
S: 0.9801 0.7500 0.3237

=====

No. 2
This entry pairs a crystal structure of La2HgC with its calculated powder X-ray diffraction pattern. Radiation: Cu Kα (λ = 1.5418 Å). Structure: a cell relaxed with GGA-PBE.
Kinematic intensities with the Lorentz-polarization factor, no thermal factor.

The 10 most intense peaks (2θ = 10–90°), by intensity:
29.93 deg, intensity 100; 29.74 deg, intensity 100; 33.25 deg, intensity 78; 38.17 deg, intensity 50; 26.12 deg, intensity 49; 28.55 deg, intensity 38; 23.15 deg, intensity 38; 40.92 deg, intensity 29; 42.54 deg, intensity 23; 44.37 deg, intensity 23

Cell and atoms:
Cell: 7.1385 7.1385 7.1385 Å, 135.63 82.21 114.88°
Atoms (fractional coordinates):
La: 0.0992 0.2500 0.3492
La: 0.4635 0.9004 0.0631
La: 0.8372 0.4004 0.9369
La: 0.9008 0.7500 0.6508
Hg: 0.3474 0.1811 0.6663
Hg: 0.5149 0.6811 0.3337
C: 0.0802 0.7058 0.8743
C: 0.8315 0.2058 0.1257

=====

No. 3
This entry pairs a crystal structure of Ba2NaMg2Tl5 with its calculated powder X-ray diffraction pattern. Radiation: Cu Kα (λ = 1.5418 Å). Structure: a cell relaxed with GGA-PBE.
Kinematic intensities with the Lorentz-polarization factor, no thermal factor.

The 10 most intense peaks (2θ = 10–90°), by intensity:
31.20 deg, intensity 100; 30.73 deg, intensity 82; 33.84 deg, intensity 48; 26.27 deg, intensity 47; 20.29 deg, intensity 41; 52.30 deg, intensity 37; 31.64 deg, intensity 32; 41.25 deg, intensity 29; 54.06 deg, intensity 25; 52.58 deg, intensity 25

Cell and atoms:
Cell: 11.9974 11.9974 4.3775 Å, 90.00 90.00 90.00°
Atoms (fractional coordinates):
Ba: 0.1781 0.3219 0.0000
Ba: 0.3219 0.8219 0.0000
Ba: 0.6781 0.1781 0.0000
Ba: 0.8219 0.6781 0.0000
Na: 0.0000 0.0000 0.0000
Na: 0.5000 0.5000 0.0000
Mg: 0.1189 0.6189 0.0000
Mg: 0.3811 0.1189 0.0000
Mg: 0.6189 0.8811 0.0000
Mg: 0.8811 0.3811 0.0000
Tl: 0.0000 0.5000 0.5000
Tl: 0.0621 0.7985 0.5000
Tl: 0.2015 0.0621 0.5000
Tl: 0.2985 0.5621 0.5000
Tl: 0.4379 0.2985 0.5000
Tl: 0.5000 0.0000 0.5000
Tl: 0.5621 0.7015 0.5000
Tl: 0.7015 0.4379 0.5000
Tl: 0.7985 0.9379 0.5000
Tl: 0.9379 0.2015 0.5000

=====

No. 4
This entry pairs a crystal structure of CaCe2PmHg4 with its calculated powder X-ray diffraction pattern. Radiation: Cu Kα (λ = 1.5418 Å). Structure: a cell relaxed with GGA-PBE.
Kinematic intensities with the Lorentz-polarization factor, no thermal factor.

The 10 most intense peaks (2θ = 10–90°), by intensity:
33.16 deg, intensity 100; 59.22 deg, intensity 29; 47.60 deg, intensity 18; 79.29 deg, intensity 17; 59.28 deg, intensity 10; 23.28 deg, intensity 8; 69.54 deg, intensity 6; 69.65 deg, intensity 6; 53.64 deg, intensity 4; 88.73 deg, intensity 3

Cell and atoms:
Cell: 9.3698 9.3698 9.3698 Å, 33.49 33.49 33.49°
Atoms (fractional coordinates):
Ca: 0.0000 0.0000 0.0000
Ce: 0.2508 0.2508 0.2508
Ce: 0.7492 0.7492 0.7492
Pm: 0.5000 0.5000 0.5000
Hg: 0.1247 0.1247 0.1247
Hg: 0.3751 0.3751 0.3751
Hg: 0.6249 0.6249 0.6249
Hg: 0.8753 0.8753 0.8753

=====

No. 5
This entry pairs a crystal structure of PuAl9Fe2 with its calculated powder X-ray diffraction pattern. Radiation: Cu Kα (λ = 1.5418 Å). Structure: a cell relaxed with GGA-PBE.
Kinematic intensities with the Lorentz-polarization factor, no thermal factor.

The 10 most intense peaks (2θ = 10–90°), by intensity:
22.95 deg, intensity 100; 37.85 deg, intensity 88; 33.28 deg, intensity 63; 38.01 deg, intensity 51; 16.75 deg, intensity 47; 29.02 deg, intensity 44; 41.01 deg, intensity 29; 33.87 deg, intensity 25; 60.18 deg, intensity 23; 68.57 deg, intensity 23

Cell and atoms:
Cell: 8.2111 8.2111 8.2111 Å, 99.73 99.73 131.46°
Atoms (fractional coordinates):
Pu: 0.3750 0.6250 0.7500
Pu: 0.6250 0.3750 0.2500
Al: 0.1250 0.8750 0.2500
Al: 0.1373 0.5679 0.3247
Al: 0.1373 0.8126 0.5693
Al: 0.1874 0.2567 0.3247
Al: 0.1874 0.8627 0.9307
Al: 0.2567 0.1874 0.8247
Al: 0.2567 0.4321 0.0693
Al: 0.4321 0.2567 0.5693
Al: 0.4321 0.8627 0.1753
Al: 0.5679 0.1373 0.8247
Al: 0.5679 0.7433 0.4307
Al: 0.7433 0.5679 0.9307
Al: 0.7433 0.8126 0.1753
Al: 0.8126 0.1373 0.0693
Al: 0.8126 0.7433 0.6753
Al: 0.8627 0.1874 0.4307
Al: 0.8627 0.4321 0.6753
Al: 0.8750 0.1250 0.7500
Fe: 0.0000 0.0000 0.0000
Fe: 0.0000 0.0000 0.5000
Fe: 0.0000 0.5000 0.0000
Fe: 0.5000 0.0000 0.5000

=====

No. 6
This entry pairs a crystal structure of Tb2Dy3Tl7 with its calculated powder X-ray diffraction pattern. Radiation: Cu Kα (λ = 1.5418 Å). Structure: a cell relaxed with GGA-PBE.
Kinematic intensities with the Lorentz-polarization factor, no thermal factor.

The 10 most intense peaks (2θ = 10–90°), by intensity:
34.14 deg, intensity 100; 33.12 deg, intensity 30; 33.98 deg, intensity 28; 48.19 deg, intensity 21; 59.83 deg, intensity 20; 60.92 deg, intensity 19; 29.40 deg, intensity 16; 80.73 deg, intensity 9; 71.91 deg, intensity 9; 61.23 deg, intensity 7

Cell and atoms:
Cell: 13.0569 13.0569 5.4089 Å, 90.00 90.00 156.69°
Atoms (fractional coordinates):
Tb: 0.1517 0.8483 0.0000
Tb: 0.8483 0.1517 0.0000
Dy: 0.3478 0.6522 0.5000
Dy: 0.5000 0.5000 0.5000
Dy: 0.6522 0.3478 0.5000
Tl: 0.0000 0.0000 0.0000
Tl: 0.0810 0.9190 0.5000
Tl: 0.2795 0.7205 0.0000
Tl: 0.4249 0.5751 0.0000
Tl: 0.5751 0.4249 0.0000
Tl: 0.7205 0.2795 0.0000
Tl: 0.9190 0.0810 0.5000

=====

No. 7
This entry pairs a crystal structure of Pm4Zn5Pd6 with its calculated powder X-ray diffraction pattern. Radiation: Cu Kα (λ = 1.5418 Å). Structure: a cell relaxed with GGA-PBE.
Kinematic intensities with the Lorentz-polarization factor, no thermal factor.

The 10 most intense peaks (2θ = 10–90°), by intensity:
33.04 deg, intensity 100; 33.40 deg, intensity 88; 42.73 deg, intensity 84; 36.07 deg, intensity 75; 39.97 deg, intensity 61; 37.46 deg, intensity 42; 31.09 deg, intensity 40; 38.36 deg, intensity 38; 31.35 deg, intensity 34; 44.86 deg, intensity 25

Cell and atoms:
Cell: 10.4241 10.4241 14.0778 Å, 90.00 90.00 156.58°
Atoms (fractional coordinates):
Pm: 0.0480 0.9520 0.5000
Pm: 0.0713 0.9287 0.7657
Pm: 0.1212 0.8788 0.2648
Pm: 0.1955 0.8045 0.9554
Pm: 0.8045 0.1955 0.4554
Pm: 0.8788 0.1212 0.7648
Pm: 0.9287 0.0713 0.2657
Pm: 0.9520 0.0480 0.0000
Zn: 0.2018 0.7982 0.6103
Zn: 0.3083 0.6917 0.2803
Zn: 0.3424 0.6576 0.6079
Zn: 0.3538 0.6462 0.9298
Zn: 0.4826 0.5174 0.6507
Zn: 0.5174 0.4826 0.1507
Zn: 0.6462 0.3538 0.4298
Zn: 0.6576 0.3424 0.1079
Zn: 0.6917 0.3083 0.7803
Zn: 0.7982 0.2018 0.1103
Pd: 0.0788 0.9212 0.0761
Pd: 0.2137 0.7863 0.4232
Pd: 0.2686 0.7314 0.7678
Pd: 0.3819 0.6181 0.1199
Pd: 0.4059 0.5941 0.4335
Pd: 0.4705 0.5295 0.8431
Pd: 0.5295 0.4705 0.3431
Pd: 0.5941 0.4059 0.9335
Pd: 0.6181 0.3819 0.6199
Pd: 0.7314 0.2686 0.2678
Pd: 0.7863 0.2137 0.9232
Pd: 0.9212 0.0788 0.5761

=====

No. 8
This entry pairs a crystal structure of BeCrGa with its calculated powder X-ray diffraction pattern. Radiation: Cu Kα (λ = 1.5418 Å). Structure: a cell relaxed with GGA-PBE.
Kinematic intensities with the Lorentz-polarization factor, no thermal factor.

The 10 most intense peaks (2θ = 10–90°), by intensity:
41.23 deg, intensity 100; 36.54 deg, intensity 100; 58.25 deg, intensity 80; 13.87 deg, intensity 77; 51.06 deg, intensity 61; 42.48 deg, intensity 57; 28.40 deg, intensity 48; 27.95 deg, intensity 43; 48.35 deg, intensity 39; 40.89 deg, intensity 31

Cell and atoms:
Cell: 6.9108 6.9108 6.9108 Å, 159.11 140.58 45.03°
Atoms (fractional coordinates):
Be: 0.1428 0.1428 0.0000
Be: 0.8572 0.8572 0.0000
Cr: 0.3183 0.3183 0.0000
Cr: 0.6817 0.6817 0.0000
Ga: 0.2524 0.5000 0.7524
Ga: 0.7476 0.5000 0.2476

=====

No. 9
This entry pairs a crystal structure of Ac3Mg3In8 with its calculated powder X-ray diffraction pattern. Radiation: Cu Kα (λ = 1.5418 Å). Structure: a cell relaxed with GGA-PBE.
Kinematic intensities with the Lorentz-polarization factor, no thermal factor.

The 10 most intense peaks (2θ = 10–90°), by intensity:
30.41 deg, intensity 100; 30.59 deg, intensity 82; 36.85 deg, intensity 39; 31.70 deg, intensity 35; 48.57 deg, intensity 30; 29.36 deg, intensity 29; 25.88 deg, intensity 27; 45.04 deg, intensity 23; 58.65 deg, intensity 21; 19.94 deg, intensity 20

Cell and atoms:
Cell: 9.4667 9.4667 9.4667 Å, 150.14 108.54 79.33°
Atoms (fractional coordinates):
Ac: 0.0000 0.0000 0.0000
Ac: 0.3022 0.3022 0.0000
Ac: 0.6978 0.6978 0.0000
Mg: 0.3054 0.5000 0.8054
Mg: 0.5000 0.0000 0.5000
Mg: 0.6946 0.5000 0.1946
In: 0.0225 0.6569 0.3656
In: 0.1505 0.8637 0.2868
In: 0.2913 0.6569 0.6344
In: 0.4232 0.1363 0.2868
In: 0.5768 0.8637 0.7132
In: 0.7087 0.3431 0.3656
In: 0.8495 0.1363 0.7132
In: 0.9775 0.3431 0.6344

=====

No. 10
This entry pairs a crystal structure of LaYPd with its calculated powder X-ray diffraction pattern. Radiation: Cu Kα (λ = 1.5418 Å). Structure: a cell relaxed with GGA-PBE.
Kinematic intensities with the Lorentz-polarization factor, no thermal factor.

The 10 most intense peaks (2θ = 10–90°), by intensity:
34.28 deg, intensity 100; 30.15 deg, intensity 86; 31.24 deg, intensity 63; 38.78 deg, intensity 56; 32.94 deg, intensity 54; 37.12 deg, intensity 53; 34.48 deg, intensity 50; 29.87 deg, intensity 49; 31.37 deg, intensity 47; 28.81 deg, intensity 46

Cell and atoms:
Cell: 7.3832 6.5213 7.4610 Å, 90.00 107.43 90.00°
Atoms (fractional coordinates):
La: 0.1341 0.1352 0.3614
La: 0.1341 0.3648 0.8614
La: 0.8659 0.6352 0.1386
La: 0.8659 0.8648 0.6386
Y: 0.4268 0.6612 0.2983
Y: 0.4268 0.8388 0.7983
Y: 0.5732 0.1612 0.2017
Y: 0.5732 0.3388 0.7017
Pd: 0.1832 0.5876 0.5203
Pd: 0.1832 0.9124 0.0203
Pd: 0.8168 0.0876 0.9797
Pd: 0.8168 0.4124 0.4797

=====

No. 11
This entry pairs a crystal structure of Na5TlCd with its calculated powder X-ray diffraction pattern. Radiation: Cu Kα (λ = 1.5418 Å). Structure: a cell relaxed with GGA-PBE.
Kinematic intensities with the Lorentz-polarization factor, no thermal factor.

The 10 most intense peaks (2θ = 10–90°), by intensity:
20.85 deg, intensity 100; 20.25 deg, intensity 70; 30.55 deg, intensity 54; 35.06 deg, intensity 50; 22.15 deg, intensity 30; 36.09 deg, intensity 28; 36.46 deg, intensity 26; 27.87 deg, intensity 25; 37.39 deg, intensity 21; 38.47 deg, intensity 19

Cell and atoms:
Cell: 9.5368 9.5368 6.4075 Å, 107.51 107.51 53.25°
Atoms (fractional coordinates):
Na: 0.0728 0.2839 0.9490
Na: 0.1554 0.8446 0.7500
Na: 0.2839 0.0728 0.4490
Na: 0.3782 0.3851 0.8802
Na: 0.3851 0.3782 0.3802
Na: 0.6149 0.6218 0.6198
Na: 0.6218 0.6149 0.1198
Na: 0.7161 0.9272 0.5510
Na: 0.8446 0.1554 0.2500
Na: 0.9272 0.7161 0.0510
Tl: 0.0000 0.5000 0.5000
Tl: 0.5000 0.0000 0.0000
Cd: 0.2496 0.7504 0.2500
Cd: 0.7504 0.2496 0.7500

=====

No. 12
This entry pairs a crystal structure of NaErGa2I6 with its calculated powder X-ray diffraction pattern. Radiation: Cu Kα (λ = 1.5418 Å). Structure: a cell relaxed with GGA-PBE.
Kinematic intensities with the Lorentz-polarization factor, no thermal factor.

The 10 most intense peaks (2θ = 10–90°), by intensity:
25.15 deg, intensity 100; 33.23 deg, intensity 55; 38.33 deg, intensity 38; 43.80 deg, intensity 28; 15.01 deg, intensity 22; 13.22 deg, intensity 20; 30.29 deg, intensity 14; 46.40 deg, intensity 13; 51.62 deg, intensity 12; 65.31 deg, intensity 12

Cell and atoms:
Cell: 8.5978 8.5978 8.5978 Å, 56.46 56.46 56.46°
Atoms (fractional coordinates):
Na: 0.0000 0.0000 0.0000
Er: 0.4935 0.4935 0.4935
Ga: 0.3044 0.3044 0.3044
Ga: 0.8096 0.8096 0.8096
I: 0.1190 0.7091 0.3928
I: 0.2424 0.6078 0.8583
I: 0.3928 0.1190 0.7091
I: 0.6078 0.8583 0.2424
I: 0.7091 0.3928 0.1190
I: 0.8583 0.2424 0.6078

=====

> What is the formula in the ninth record?

Ac3Mg3In8